The following is a calculated powder X-ray diffraction pattern of NiH2O2. It was derived from a structure optimized by DFT (PBE+U), using a wavelength of 1.5418 Å.

Structural model:
```
data_NiH2O2
_chemical_formula_sum 'Ni2 H4 O4'
_space_group_name_H-M_alt 'P -1'
_space_group_IT_number 2
_cell_length_a 3.157
_cell_length_b 5.474
_cell_length_c 7.506
_cell_angle_alpha 83.07
_cell_angle_beta 77.96
_cell_angle_gamma 90.00
loop_
_space_group_symop_operation_xyz
'x,y,z'
'-x,-y,-z'
loop_
_atom_site_label
_atom_site_type_symbol
_atom_site_fract_x
_atom_site_fract_y
_atom_site_fract_z
_atom_site_occupancy
Ni1 Ni 0.250 0.249 0.000 1
H1 H 0.115 0.538 0.272 1
H2 H 0.385 0.962 0.728 1
O1 O 0.181 0.560 0.139 1
O2 O 0.319 0.940 0.861 1
```

The 12 most intense peaks (5 to 70 degrees two-theta), most intense first:
- (0 0 1), 12.1 deg, rel. 100
- (1 -1 2), 38.8 deg, rel. 19
- (1 -1 1), 33.8 deg, rel. 15
- (0 2 3), 47.0 deg, rel. 11
- (0 0 2), 24.4 deg, rel. 8
- (2 0 0), 59.9 deg, rel. 6
- (2 0 1), 58.4 deg, rel. 5
- (1 -1 0), 33.0 deg, rel. 5
- (1 1 3), 44.0 deg, rel. 4
- (0 2 4), 57.3 deg, rel. 4
- (0 2 -3), 53.6 deg, rel. 3
- (2 0 -1), 64.3 deg, rel. 3

The following is a calculated powder X-ray diffraction pattern of Li2FeCO4. It was derived from a structure optimized by DFT (PBE+U), using a wavelength of 1.5418 Å.

Structural model:
```
data_Li2FeCO4
_chemical_formula_sum 'Li8 Fe4 C4 O16'
_space_group_name_H-M_alt 'P 1 21/c 1'
_space_group_IT_number 14
_cell_length_a 7.012
_cell_length_b 5.022
_cell_length_c 11.003
_cell_angle_alpha 90.00
_cell_angle_beta 98.51
_cell_angle_gamma 90.00
loop_
_space_group_symop_operation_xyz
'x,y,z'
'-x,-y,-z'
'-x,y+1/2,-z+1/2'
'x,-y+1/2,z+1/2'
loop_
_atom_site_label
_atom_site_type_symbol
_atom_site_fract_x
_atom_site_fract_y
_atom_site_fract_z
_atom_site_occupancy
Li1 Li 0.115 0.156 0.288 1
Li2 Li 0.214 0.177 0.569 1
Fe1 Fe 0.487 0.641 0.666 1
C1 C 0.191 0.677 0.437 1
O1 O 0.058 0.701 0.863 1
O2 O 0.223 0.077 0.925 1
O3 O 0.292 0.688 0.025 1
O4 O 0.345 0.159 0.214 1
```

The 12 most intense peaks (5 to 70 degrees two-theta), most intense first:
- (1 1 -2), 26.2 deg, rel. 100
- (1 0 0), 12.8 deg, rel. 83
- (2 0 -2), 28.4 deg, rel. 64
- (1 1 3), 34.5 deg, rel. 46
- (0 1 1), 19.5 deg, rel. 25
- (1 0 2), 22.2 deg, rel. 23
- (3 1 -4), 51.3 deg, rel. 21
- (0 1 3), 30.4 deg, rel. 17
- (2 1 -2), 33.6 deg, rel. 14
- (1 2 1), 39.5 deg, rel. 14
- (1 1 2), 28.5 deg, rel. 11
- (2 2 1), 46.1 deg, rel. 11

The following is a calculated powder X-ray diffraction pattern of Li2V5B3O13. It was derived from a structure optimized by DFT (PBE+U), using a wavelength of 1.5418 Å.

Structural model:
```
data_Li2V5B3O13
_chemical_formula_sum 'Li4 V10 B6 O26'
_space_group_name_H-M_alt 'P 1 21/m 1'
_space_group_IT_number 11
_cell_length_a 9.617
_cell_length_b 3.234
_cell_length_c 15.121
_cell_angle_alpha 90.00
_cell_angle_beta 106.47
_cell_angle_gamma 90.00
loop_
_space_group_symop_operation_xyz
'x,y,z'
'-x,-y,-z'
'-x,y+1/2,-z'
'x,-y+1/2,z'
loop_
_atom_site_label
_atom_site_type_symbol
_atom_site_fract_x
_atom_site_fract_y
_atom_site_fract_z
_atom_site_occupancy
Li1 Li 0.117 0.250 0.054 1
Li2 Li 0.227 0.750 0.240 1
V1 V 0.022 0.250 0.313 1
V2 V 0.142 0.250 0.564 1
V3 V 0.311 0.250 0.796 1
V4 V 0.359 0.750 0.997 1
V5 V 0.459 0.750 0.634 1
B1 B 0.092 0.750 0.883 1
B2 B 0.294 0.750 0.426 1
B3 B 0.413 0.250 0.181 1
O1 O 0.011 0.750 0.566 1
O2 O 0.044 0.250 0.178 1
O3 O 0.112 0.250 0.706 1
O4 O 0.120 0.750 0.978 1
O5 O 0.170 0.750 0.350 1
O6 O 0.218 0.750 0.855 1
O7 O 0.273 0.750 0.514 1
O8 O 0.334 0.250 0.090 1
O9 O 0.342 0.250 0.656 1
O10 O 0.351 0.250 0.252 1
O11 O 0.425 0.250 0.936 1
O12 O 0.431 0.750 0.414 1
O13 O 0.437 0.750 0.788 1
```

The 12 most intense peaks (5 to 70 degrees two-theta), most intense first:
- (1 0 -1), 9.8 deg, rel. 100
- (2 1 -1), 33.4 deg, rel. 39
- (2 1 -2), 34.1 deg, rel. 25
- (1 1 -2), 30.7 deg, rel. 20
- (0 0 1), 6.1 deg, rel. 18
- (0 2 0), 56.9 deg, rel. 18
- (4 1 2), 53.1 deg, rel. 17
- (2 0 3), 30.3 deg, rel. 15
- (3 1 -5), 46.0 deg, rel. 13
- (2 0 -5), 31.4 deg, rel. 11
- (1 0 -5), 29.6 deg, rel. 10
- (0 0 3), 18.4 deg, rel. 9

The following is a calculated powder X-ray diffraction pattern of Al3Cr3Sb2O16. It was derived from a structure optimized by DFT (PBE+U), using a wavelength of 1.5418 Å.

Structural model:
```
data_Al3Cr3Sb2O16
_chemical_formula_sum 'Al6 Cr6 Sb4 O32'
_space_group_name_H-M_alt 'C 1 m 1'
_space_group_IT_number 8
_cell_length_a 9.992
_cell_length_b 5.818
_cell_length_c 9.296
_cell_angle_alpha 90.00
_cell_angle_beta 90.47
_cell_angle_gamma 90.00
loop_
_space_group_symop_operation_xyz
'x,y,z'
'x,-y,z'
'x+1/2,y+1/2,z'
'x+1/2,-y+1/2,z'
loop_
_atom_site_label
_atom_site_type_symbol
_atom_site_fract_x
_atom_site_fract_y
_atom_site_fract_z
_atom_site_occupancy
Al1 Al 0.000 0.000 0.000 1
Al2 Al 0.415 0.248 0.501 1
Cr1 Cr 0.163 0.500 0.522 1
Cr2 Cr 0.246 0.248 0.014 1
Sb1 Sb 0.163 0.000 0.292 1
Sb2 Sb 0.494 0.000 0.788 1
O1 O 0.007 0.500 0.408 1
O2 O 0.075 0.283 0.635 1
O3 O 0.092 0.215 0.132 1
O4 O 0.164 0.500 0.899 1
O5 O 0.167 0.000 0.907 1
O6 O 0.251 0.248 0.401 1
O7 O 0.313 0.000 0.138 1
O8 O 0.331 0.500 0.598 1
O9 O 0.336 0.500 0.098 1
O10 O 0.358 0.000 0.627 1
O11 O 0.417 0.254 0.900 1
O12 O 0.496 0.500 0.403 1
```

The 12 most intense peaks (5 to 70 degrees two-theta), most intense first:
- (1 1 1), 20.1 deg, rel. 100
- (3 1 -2), 36.5 deg, rel. 33
- (2 0 1), 20.2 deg, rel. 28
- (2 0 -3), 33.9 deg, rel. 23
- (2 0 -2), 26.1 deg, rel. 19
- (3 1 2), 36.7 deg, rel. 15
- (2 2 -1), 37.0 deg, rel. 15
- (1 1 2), 26.2 deg, rel. 14
- (6 2 0), 64.5 deg, rel. 14
- (2 2 -5), 62.0 deg, rel. 12
- (4 0 -3), 46.5 deg, rel. 12
- (4 0 -2), 40.9 deg, rel. 12

The following is a calculated powder X-ray diffraction pattern of Na4Fe2P3O12. It was derived from a structure optimized by DFT (PBE+U), using a wavelength of 1.5418 Å.

Structural model:
```
data_Na4Fe2P3O12
_chemical_formula_sum 'Na24 Fe12 P18 O72'
_space_group_name_H-M_alt 'R -3 c'
_space_group_IT_number 167
_space_group_name_Hall '-R 3 2"c'
_cell_length_a 9.0611
_cell_length_b 9.0611
_cell_length_c 21.4418
_cell_angle_alpha 90.00
_cell_angle_beta 90.00
_cell_angle_gamma 120.00
loop_
_atom_site_label
_atom_site_type_symbol
_atom_site_fract_x
_atom_site_fract_y
_atom_site_fract_z
_atom_site_occupancy
Na1 Na 0.0000 0.0000 0.0000 1
Na2 Na 0.0000 0.3649 0.2500 1
Fe1 Fe 0.0000 0.0000 0.1489 1
P1 P 0.0000 0.2976 0.7500 1
O1 O 0.0122 0.2063 0.6909 1
O2 O 0.0170 0.1885 0.4165 1
```

The 12 most intense peaks (5 to 70 degrees two-theta), most intense first:
- (1 1 6), 31.9 deg, rel. 100
- (3 0 0), 34.3 deg, rel. 65
- (1 0 4), 20.1 deg, rel. 41
- (2 2 6), 47.5 deg, rel. 38
- (1 1 3), 23.2 deg, rel. 37
- (2 1 1), 30.4 deg, rel. 26
- (4 1 6), 59.9 deg, rel. 25
- (1 1 0), 19.6 deg, rel. 19
- (0 2 4), 28.2 deg, rel. 17
- (4 1 0), 53.5 deg, rel. 16
- (1 2 8), 45.6 deg, rel. 15
- (2 2 3), 41.8 deg, rel. 13

The following is a calculated powder X-ray diffraction pattern of TbVSe2O8. It was derived from a structure optimized by DFT (PBE+U), using a wavelength of 1.5418 Å.

Structural model:
```
data_TbVSe2O8
_chemical_formula_sum 'Tb4 V4 Se8 O32'
_space_group_name_H-M_alt 'P 1 21/m 1'
_space_group_IT_number 11
_cell_length_a 6.791
_cell_length_b 7.045
_cell_length_c 13.580
_cell_angle_alpha 90.00
_cell_angle_beta 91.28
_cell_angle_gamma 90.00
loop_
_space_group_symop_operation_xyz
'x,y,z'
'-x,-y,-z'
'-x,y+1/2,-z'
'x,-y+1/2,z'
loop_
_atom_site_label
_atom_site_type_symbol
_atom_site_fract_x
_atom_site_fract_y
_atom_site_fract_z
_atom_site_occupancy
Tb1 Tb 0.078 0.250 0.068 1
Tb2 Tb 0.375 0.750 0.135 1
V1 V 0.373 0.009 0.615 1
Se1 Se 0.041 0.250 0.349 1
Se2 Se 0.108 0.250 0.840 1
Se3 Se 0.205 0.750 0.406 1
Se4 Se 0.452 0.750 0.862 1
O1 O 0.019 0.750 0.772 1
O2 O 0.026 0.577 0.097 1
O3 O 0.091 0.554 0.606 1
O4 O 0.212 0.750 0.281 1
O5 O 0.291 0.750 0.960 1
O6 O 0.300 0.250 0.572 1
O7 O 0.309 0.250 0.920 1
O8 O 0.360 0.554 0.437 1
O9 O 0.375 0.074 0.108 1
O10 O 0.413 0.063 0.733 1
O11 O 0.423 0.750 0.617 1
```

The 12 most intense peaks (5 to 70 degrees two-theta), most intense first:
- (2 1 0), 29.2 deg, rel. 100
- (0 0 1), 6.5 deg, rel. 94
- (0 0 4), 26.3 deg, rel. 82
- (2 1 1), 30.1 deg, rel. 77
- (0 2 0), 25.3 deg, rel. 66
- (0 2 1), 26.1 deg, rel. 48
- (1 2 -3), 34.7 deg, rel. 33
- (2 3 0), 47.1 deg, rel. 32
- (2 1 -3), 35.1 deg, rel. 30
- (2 3 1), 47.6 deg, rel. 27
- (1 0 -3), 23.4 deg, rel. 26
- (1 1 4), 32.4 deg, rel. 25